1.
Structure and computed PXRD pattern of Pm6Dy (a cell relaxed with GGA-PBE; λ = 1.5418 Å (Cu Kα)).

Atomic structure:
Cell: 6.5894 6.5894 11.2728 Å, 90.00 90.00 90.00°
Fractional coordinates of all 14 atoms:
Pm 0.0820 0.5820 0.1393
Pm 0.0820 0.9180 0.8607
Pm 0.2500 0.2500 0.3628
Pm 0.2500 0.2500 0.6372
Pm 0.4180 0.5820 0.8607
Pm 0.4180 0.9180 0.1393
Pm 0.5820 0.0820 0.8607
Pm 0.5820 0.4180 0.1393
Pm 0.7500 0.7500 0.3628
Pm 0.7500 0.7500 0.6372
Pm 0.9180 0.0820 0.1393
Pm 0.9180 0.4180 0.8607
Dy 0.2500 0.7500 0.5000
Dy 0.7500 0.2500 0.5000

Top 6 peaks for 2θ = 5–70°, sorted by position:
- 2θ 28.22, rel. 100, (2 0 1)
- 2θ 30.56, rel. 78, (1 1 3)
- 2θ 31.38, rel. 65, (2 1 1)
- 2θ 31.75, rel. 28, (0 0 4)
- 2θ 34.34, rel. 75, (2 1 2)
- 2θ 54.79, rel. 54, (3 1 4)

***

2.
Structure and computed PXRD pattern of Pm5Dy3 (a cell relaxed with GGA-PBE; λ = 1.5418 Å (Cu Kα)).

Atomic structure:
Cell: 3.6121 3.6121 20.4107 Å, 90.00 90.00 90.00°
Fractional coordinates of all 8 atoms:
Pm 0.0000 0.0000 0.0000
Pm 0.0000 0.0000 0.2482
Pm 0.0000 0.0000 0.7518
Pm 0.5000 0.5000 0.3756
Pm 0.5000 0.5000 0.6244
Dy 0.0000 0.0000 0.5000
Dy 0.5000 0.5000 0.1237
Dy 0.5000 0.5000 0.8763

Top 5 peaks for 2θ = 5–70°, sorted by position:
- 2θ 30.32, rel. 100, (1 0 4)
- 2θ 35.15, rel. 51, (1 1 0)
- 2θ 50.56, rel. 36, (2 0 0)
- 2θ 60.09, rel. 43, (2 1 4)
- 2θ 63.06, rel. 12, (2 0 8)

***

3.
Structure and computed PXRD pattern of Pm5Dy3 (a cell relaxed with GGA-PBE; λ = 1.5418 Å (Cu Kα)).

Atomic structure:
Cell: 5.0872 5.1125 10.2183 Å, 90.00 90.00 90.00°
Fractional coordinates of all 8 atoms:
Pm 0.0000 0.0000 0.0000
Pm 0.0000 0.0000 0.5000
Pm 0.0000 0.5000 0.2484
Pm 0.0000 0.5000 0.7516
Pm 0.5000 0.5000 0.5000
Dy 0.5000 0.0000 0.2484
Dy 0.5000 0.0000 0.7516
Dy 0.5000 0.5000 0.0000

Top 6 peaks for 2θ = 5–70°, sorted by position:
- 2θ 30.34, rel. 100, (1 1 2)
- 2θ 35.12, rel. 34, (0 2 0)
- 2θ 35.29, rel. 17, (2 0 0)
- 2θ 50.64, rel. 24, (2 2 0)
- 2θ 60.07, rel. 29, (1 3 2)
- 2θ 60.29, rel. 14, (3 1 2)